# Li2MnP2O7
Calculated powder XRD pattern, Cu Kα (weighted mean of Kα1 and Kα2). Input: a GGA+U-relaxed structure.
Intensities are scaled so that the largest is 100.

Peak list (10 most intense, 2θ from 10° to 80°, low angle first)
(1 1 0), d = 6.520 Å, 13.6°, I = 33
(2 0 0), d = 6.361 Å, 13.9°, I = 55
(0 2 0), d = 3.796 Å, 23.4°, I = 54
(2 2 0), d = 3.260 Å, 27.4°, I = 57
(0 2 1), d = 3.178 Å, 28.1°, I = 32
(3 1 1), d = 3.122 Å, 28.6°, I = 100
(1 1 2), d = 2.653 Å, 33.8°, I = 28
(5 1 1), d = 2.228 Å, 40.5°, I = 44
(5 3 1), d = 1.715 Å, 53.4°, I = 32
(5 3 2), d = 1.527 Å, 60.7°, I = 24

Crystal structure
```
data_Li2MnP2O7
_chemical_formula_sum 'Li8 Mn4 P8 O28'
_space_group_name_H-M_alt 'C m c m'
_space_group_IT_number 63
_space_group_name_Hall '-C 2c 2'
_cell_length_a 12.7228
_cell_length_b 7.5922
_cell_length_c 5.8087
_cell_angle_alpha 90.00
_cell_angle_beta 90.00
_cell_angle_gamma 90.00
loop_
_atom_site_label
_atom_site_type_symbol
_atom_site_fract_x
_atom_site_fract_y
_atom_site_fract_z
Li1 Li 0.2080 0.0000 0.0000
Mn1 Mn 0.0000 0.2530 0.2500
P1 P 0.1141 0.3167 0.7500
O1 O 0.0000 0.4294 0.7500
O2 O 0.1110 0.2047 0.5294
O3 O 0.1971 0.4584 0.7500
```